SmBi2WO8: simulated powder diffractogram (copper Kα), based on the GGA+U geometry in Alexandria.
Intensities are scaled so that the largest is 100.

Structural model:
```
data_SmBi2WO8
_cell_length_a 5.1723
_cell_length_b 6.9002
_cell_length_c 5.1789
_cell_angle_alpha 90.00
_cell_angle_beta 90.42
_cell_angle_gamma 90.00
_space_group_name_H-M_alt 'P 1'
_space_group_IT_number 1
_space_group_name_Hall 'P 1'
loop_
_atom_site_label
_atom_site_type_symbol
_atom_site_fract_x
_atom_site_fract_y
_atom_site_fract_z
Sm1 Sm 0.0000 0.0000 0.0000
Bi1 Bi 0.5000 0.2552 0.5000
Bi2 Bi 0.5000 0.7448 0.5000
W1 W 0.0000 0.5000 0.0000
O1 O 0.1810 0.2875 0.1790
O2 O 0.1810 0.7125 0.1790
O3 O 0.2653 0.5000 0.7325
O4 O 0.3132 0.0000 0.6847
O5 O 0.6868 0.0000 0.3153
O6 O 0.7347 0.5000 0.2675
O7 O 0.8190 0.2875 0.8210
O8 O 0.8190 0.7125 0.8210
```

The 10 most intense peaks (15° ≤ 2θ ≤ 90°), by intensity:
d 2.871, I = 100, (1 2 0)
d 3.646, I = 56, (1 0 1)
d 3.673, I = 55, (1 0 -1)
d 1.918, I = 40, (2 2 1)
d 1.926, I = 38, (2 2 -1)
d 2.588, I = 32, (0 0 2)
d 1.543, I = 22, (0 2 3)
d 1.560, I = 19, (1 4 1)
d 1.435, I = 12, (0 4 2)
d 1.640, I = 11, (1 0 -3)